[1]
The following is a calculated X-ray diffraction stick pattern of RbPuP2S7. It was derived from DFT lattice parameters and positions (GGA-PBE), using Cu Ka.

Structural model:
a b c (Å): 9.9510 12.5422 9.0941
angles (deg): 90.00 90.60 90.00
Space group P2_1/c (No. 14)
Inequivalent atoms, fractional coordinates:
Rb  0.1060  0.1952  0.1329 (multiplicity 4)
Pu  0.3601  0.6408  0.6072 (multiplicity 4)
P  0.2303  0.6039  0.9757 (multiplicity 4)
P  0.3181  0.0351  0.8029 (multiplicity 4)
S  0.1376  0.5595  0.7865 (multiplicity 4)
S  0.1401  0.7098  0.1113 (multiplicity 4)
S  0.1720  0.5274  0.4306 (multiplicity 4)
S  0.2551  0.0504  0.5767 (multiplicity 4)
S  0.3577  0.1903  0.8542 (multiplicity 4)
S  0.4104  0.6718  0.9237 (multiplicity 4)
S  0.4858  0.5569  0.3263 (multiplicity 4)

Top 6 peaks for 15° ≤ 2θ ≤ 90°, by angle:
hkl 0 2 1, 2θ 17.18, rel. 73; hkl 2 1 0, 2θ 19.19, rel. 92; hkl 1 2 -1, 2θ 19.33, rel. 100; hkl 1 1 -2, 2θ 22.56, rel. 83; hkl 2 2 1, 2θ 24.93, rel. 96; hkl 1 3 1, 2θ 25.12, rel. 66

---

[2]
The following is a calculated X-ray diffraction stick pattern of CeOF. It was derived from DFT lattice parameters and positions (GGA-PBE), using Cu Ka.

Structural model:
a b c (Å): 3.9893 3.9893 20.0531
angles (deg): 90.00 90.00 120.00
Space group R-3m (No. 166, hexagonal axes)
Inequivalent atoms, fractional coordinates:
Ce  0.0000  0.0000  0.2401 (multiplicity 6)
O  0.0000  0.0000  0.1222 (multiplicity 6)
F  0.0000  0.0000  0.3699 (multiplicity 6)

Top 6 peaks for 15° ≤ 2θ ≤ 90°, by angle:
hkl 0 0 6, 2θ 26.67, rel. 30; hkl 0 1 2, 2θ 27.30, rel. 100; hkl 1 0 4, 2θ 31.45, rel. 34; hkl 0 1 8, 2θ 44.66, rel. 33; hkl 1 1 0, 2θ 45.47, rel. 39; hkl 1 1 6, 2θ 53.50, rel. 26